(1)
This entry pairs a crystal structure of LaSiNi4 with its theoretical XRD peak list. Radiation: a wavelength of 1.5418 Å. Structure: a DFT-relaxed cell (PBE, Alexandria).
Intensities are scaled so that the largest is 100.

Largest 6 diffraction maxima, in order of rising 2θ, 10 to 90 degrees two-theta:
| 2θ (°) | I/Imax |
| --- | --- |
| 31.08 | 52 |
| 36.60 | 53 |
| 40.68 | 42 |
| 41.27 | 91 |
| 43.31 | 100 |
| 45.62 | 45 |

Structure:
```
6
Lattice="2.6192 -4.1687 0.0000 2.6192 4.1687 0.0000 0.0000 0.0000 3.9775" Properties=species:S:1:pos:R:3 pbc="T T T"
La 0.0000 0.0000 0.0000
Si 2.6192 0.0000 1.9887
Ni 1.3096 2.0844 1.9887
Ni 2.6192 1.3055 0.0000
Ni 1.3096 -2.0844 1.9887
Ni 2.6192 -1.3055 0.0000
```

=====

(2)
This entry pairs a crystal structure of La2Si7Ni12 with its theoretical XRD peak list. Radiation: a wavelength of 1.5418 Å. Structure: a DFT-relaxed cell (PBE, Alexandria).
Intensities are scaled so that the largest is 100.

Largest 6 diffraction maxima, in order of rising 2θ, 10 to 90 degrees two-theta:
| 2θ (°) | I/Imax |
| --- | --- |
| 37.96 | 100 |
| 40.49 | 13 |
| 47.32 | 14 |
| 47.96 | 21 |
| 55.43 | 12 |
| 73.60 | 12 |

Structure:
```
21
Lattice="9.2754 0.0000 0.0000 -4.6377 8.0327 0.0000 0.0000 0.0000 3.7937" Properties=species:S:1:pos:R:3 pbc="T T T"
La 0.0000 0.0000 0.0000
La 0.0000 5.3551 1.8968
Si -2.3559 4.8377 0.0000
Si 2.4001 0.2253 1.8968
Si 1.6261 3.5736 0.0000
Si 0.7298 7.6542 0.0000
Si 4.6377 2.6776 0.0000
Si 3.6327 5.8415 1.8968
Si 7.8802 1.9659 1.8968
Ni -3.1934 6.0330 1.8968
Ni -0.6961 3.1080 0.0000
Ni 1.0097 2.2507 1.8968
Ni -1.5980 7.0815 0.0000
Ni 2.7178 1.5667 0.0000
Ni 4.5929 1.0867 1.8968
Ni 3.2823 3.5118 1.8968
Ni 2.2941 5.8759 0.0000
Ni 2.1837 7.7818 1.8968
Ni 6.5596 1.5704 0.0000
Ni 4.6356 4.8956 0.0000
Ni 6.0378 3.4342 1.8968
```

=====

(3)
This entry pairs a crystal structure of La8Si2Ni with its theoretical XRD peak list. Radiation: a wavelength of 1.5418 Å. Structure: a DFT-relaxed cell (PBE, Alexandria).
Intensities are scaled so that the largest is 100.

Largest 6 diffraction maxima, in order of rising 2θ, 10 to 90 degrees two-theta:
| 2θ (°) | I/Imax |
| --- | --- |
| 30.47 | 57 |
| 31.78 | 100 |
| 32.46 | 96 |
| 33.94 | 62 |
| 34.09 | 56 |
| 34.70 | 82 |

Structure:
```
11
Lattice="4.4692 -8.3914 0.0000 4.4692 8.3914 0.0000 -2.9659 0.0000 4.2353" Properties=species:S:1:pos:R:3 pbc="T T T"
La 0.0000 0.0000 0.0000
La -0.2915 2.1113 2.7745
La 0.9524 4.9921 3.6058
La -0.2915 -2.1113 2.7745
La 3.1770 0.0000 1.9730
La 5.4786 2.3074 0.4814
La 0.9524 -4.9921 3.6058
La 5.4786 -2.3074 0.4814
Si 2.6003 3.2164 1.6154
Si 2.6003 -3.2164 1.6154
Ni 6.8214 0.0000 1.7073
```

=====

(4)
This entry pairs a crystal structure of La2TmSi3Ni12 with its theoretical XRD peak list. Radiation: a wavelength of 1.5418 Å. Structure: a DFT-relaxed cell (PBE, Alexandria).
Intensities are scaled so that the largest is 100.

Largest 6 diffraction maxima, in order of rising 2θ, 10 to 90 degrees two-theta:
| 2θ (°) | I/Imax |
| --- | --- |
| 22.29 | 26 |
| 30.55 | 42 |
| 39.54 | 23 |
| 41.95 | 100 |
| 42.86 | 19 |
| 48.01 | 22 |

Structure:
```
18
Lattice="4.3071 2.4867 3.9889 -4.3071 2.4867 3.9889 0.0000 -4.9734 3.9889" Properties=species:S:1:pos:R:3 pbc="T T T"
La 0.0000 0.0000 1.6655
La 0.0000 0.0000 10.3011
Tm 0.0000 0.0000 5.9833
Si -2.1536 -1.2434 3.9889
Si -2.1536 1.2434 7.9777
Si 0.0000 2.4867 3.9889
Ni 0.0000 -2.2587 3.3023
Ni -1.9560 1.1293 3.3023
Ni -2.1713 -1.2536 6.2735
Ni 0.0000 -2.5072 5.6931
Ni -2.1713 1.2536 5.6931
Ni -1.9561 -1.1293 8.6643
Ni 1.9560 1.1293 3.3023
Ni 2.1713 -1.2536 6.2735
Ni 0.0000 2.5072 6.2735
Ni 2.1713 1.2536 5.6931
Ni 1.9561 -1.1293 8.6643
Ni 0.0000 2.2587 8.6643
```

=====

(5)
This entry pairs a crystal structure of LaZnSiNi6 with its theoretical XRD peak list. Radiation: a wavelength of 1.5418 Å. Structure: a DFT-relaxed cell (PBE, Alexandria).
Intensities are scaled so that the largest is 100.

Largest 6 diffraction maxima, in order of rising 2θ, 10 to 90 degrees two-theta:
| 2θ (°) | I/Imax |
| --- | --- |
| 30.32 | 65 |
| 35.84 | 100 |
| 37.22 | 62 |
| 42.55 | 94 |
| 45.13 | 63 |
| 48.96 | 59 |

Structure:
```
18
Lattice="-2.5885 3.7208 6.7246 2.5885 -3.7208 6.7246 2.5885 3.7208 -6.7246" Properties=species:S:1:pos:R:3 pbc="T T T"
La 0.0000 1.8604 0.0411
La 2.5885 1.8604 6.6835
Zn 2.5885 0.0000 0.0000
Zn 0.0000 0.0000 6.7246
Si -1.2943 1.8604 3.3623
Si 1.2943 1.8604 3.3623
Ni 2.5885 -1.8604 3.3942
Ni 1.2832 -0.1518 2.1339
Ni 3.8939 -0.1518 2.1339
Ni 1.2832 3.5689 -2.1339
Ni 1.3053 -0.1518 4.5906
Ni 2.5885 1.8604 1.5358
Ni 0.0000 1.8604 5.1887
Ni 1.2832 3.8726 2.1339
Ni 1.3053 0.1518 8.8585
Ni -1.3053 3.8726 4.5906
Ni 1.3053 3.8726 4.5906
Ni 0.0000 5.5812 3.3304
```

=====

(6)
This entry pairs a crystal structure of La2SmNi6 with its theoretical XRD peak list. Radiation: a wavelength of 1.5418 Å. Structure: a DFT-relaxed cell (PBE, Alexandria).
Intensities are scaled so that the largest is 100.

Largest 6 diffraction maxima, in order of rising 2θ, 10 to 90 degrees two-theta:
| 2θ (°) | I/Imax |
| --- | --- |
| 25.37 | 14 |
| 33.98 | 100 |
| 44.72 | 40 |
| 57.33 | 22 |
| 65.59 | 24 |
| 75.50 | 19 |

Structure:
```
9
Lattice="7.0204 0.0000 0.0000 -3.5102 6.0798 0.0000 0.0000 0.0000 3.9993" Properties=species:S:1:pos:R:3 pbc="T T T"
La 0.0000 4.0532 0.0000
La 3.5102 2.0266 0.0000
Sm 0.0000 0.0000 0.0000
Ni -1.1648 2.0174 1.9996
Ni -2.3454 4.0624 1.9996
Ni 2.3295 0.0000 1.9996
Ni 1.1648 2.0174 1.9996
Ni 4.6908 0.0000 1.9996
Ni 2.3454 4.0624 1.9996
```